The following is a simulated powder diffraction line list of TaI2Br5. It was derived from a cell relaxed with PBE, using Cu Kα.

Most intense lines, 10 to 80 degrees two-theta, by intensity:
| 2θ (°) | Rel. int. | h k l |
| --- | --- | --- |
| 15.53 | 100 | 0 2 0 |
| 16.66 | 79 | 1 0 1 |
| 22.03 | 78 | 2 2 0 |
| 31.75 | 62 | 1 1 2 |
| 35.17 | 56 | 2 4 0 |
| 45.22 | 40 | 3 3 2 |
| 65.66 | 24 | 7 1 2 |
| 42.36 | 23 | 3 4 1 |

Structural model:
```
TaI2Br5
1.0
11.4033 0.0000 0.0000
0.0000 11.4181 0.0000
0.0000 0.0000 6.0164
Ta I Br
2 4 10
direct
0.0000 0.0000 0.0000 Ta
0.5000 0.5000 0.5000 Ta
0.0000 0.5000 0.1659 I
0.0000 0.5000 0.6659 I
0.5000 0.0000 0.1659 I
0.5000 0.0000 0.6659 I
0.0000 0.0000 0.3962 Br
0.1498 0.1496 0.9063 Br
0.1498 0.8504 0.9063 Br
0.3502 0.3504 0.4063 Br
0.3502 0.6496 0.4063 Br
0.5000 0.5000 0.8962 Br
0.6498 0.3504 0.4063 Br
0.6498 0.6496 0.4063 Br
0.8502 0.1496 0.9063 Br
0.8502 0.8504 0.9063 Br
```